Structure and theoretical powder XRD pattern of O3F (a PBE-relaxed structure; λ = 1.5418 Å (Cu Kα)).

```
O3F
1.0
4.6752 0.0000 0.0000
2.2997 4.3288 0.0000
1.2355 1.7253 5.7515
O F
6 2
Direct
0.0080 0.2733 0.2137
0.1615 0.4218 0.1945
0.4171 0.9287 0.0132
0.5829 0.0713 0.9868
0.8385 0.5782 0.8055
0.9920 0.7267 0.7863
0.4697 0.2133 0.4889
0.5303 0.7867 0.5111
```

The 10 most intense peaks (10° ≤ 2θ ≤ 90°), in order of falling intensity:
Position (°2θ)	Rel. int.
22.87	100
37.23	81
37.97	38
27.22	35
39.05	32
29.97	32
22.55	31
41.86	26
32.39	20
46.08	19

***

Structure and theoretical powder XRD pattern of O2F13 (a PBE-relaxed structure; λ = 1.5418 Å (Cu Kα)).

```
O2F13
1.0
2.8276 1.6325 8.4701
-2.8276 1.6325 8.4701
0.0000 -3.2651 8.4701
O F
2 13
Direct
0.2091 0.2091 0.2091
0.7909 0.7909 0.7909
0.0000 0.0000 0.0000
0.0705 0.0705 0.5310
0.0705 0.5310 0.0705
0.2481 0.2481 0.5887
0.2481 0.5887 0.2481
0.4113 0.7519 0.7519
0.4690 0.9295 0.9295
0.5310 0.0705 0.0705
0.5887 0.2481 0.2481
0.7519 0.4113 0.7519
0.7519 0.7519 0.4113
0.9295 0.4690 0.9295
0.9295 0.9295 0.4690
```

The 10 most intense peaks (10° ≤ 2θ ≤ 90°), in order of falling intensity:
Position (°2θ)	Rel. int.
25.25	100
30.66	100
49.36	57
10.44	55
31.69	54
19.42	52
33.63	51
36.88	51
46.85	49
44.64	30

***

Structure and theoretical powder XRD pattern of OsOF5 (a PBE-relaxed structure; λ = 1.5418 Å (Cu Kα)).

```
OsOF5
1.0
9.7221 0.0000 0.0000
0.0000 5.1863 0.0000
0.0000 0.0000 8.9095
Os O F
4 4 20
Direct
0.1276 0.0813 0.0000
0.3724 0.5813 0.5000
0.6276 0.4187 0.0000
0.8724 0.9187 0.5000
0.2254 0.9496 0.8625
0.2746 0.4496 0.3625
0.7254 0.5504 0.8625
0.7746 0.0504 0.3625
0.0042 0.8027 0.0122
0.0057 0.2514 0.8693
0.0185 0.2271 0.1556
0.2308 0.3875 0.0148
0.2311 0.9397 0.1585
0.2689 0.4397 0.6585
0.2692 0.8875 0.5148
0.4815 0.7271 0.6556
0.4943 0.7514 0.3693
0.4958 0.3027 0.5122
0.5042 0.6973 0.0122
0.5057 0.2486 0.8693
0.5185 0.2729 0.1556
0.7308 0.1125 0.0148
0.7311 0.5603 0.1585
0.7689 0.0603 0.6585
0.7692 0.6125 0.5148
0.9815 0.7729 0.6556
0.9943 0.7486 0.3693
0.9958 0.1973 0.5122
```

The 10 most intense peaks (10° ≤ 2θ ≤ 90°), in order of falling intensity:
Position (°2θ)	Rel. int.
20.82	100
21.83	66
19.93	58
19.40	46
27.95	32
19.81	29
35.42	20
42.34	16
34.14	16
44.94	15

***

Structure and theoretical powder XRD pattern of OsO2F4 (a PBE-relaxed structure; λ = 1.5418 Å (Cu Kα)).

```
OsO2F4
1.0
9.7044 0.0000 0.0000
-4.8522 8.4043 0.0000
0.0000 0.0000 11.1385
Os O F
6 12 24
Direct
0.0784 0.5741 0.0000
0.4259 0.5043 0.3333
0.4957 0.9216 0.6667
0.5043 0.0784 0.1667
0.5741 0.4957 0.8333
0.9216 0.4259 0.5000
0.1058 0.6662 0.1364
0.1135 0.5794 0.5134
0.3338 0.4396 0.4698
0.4206 0.5341 0.8468
0.4396 0.1058 0.3031
0.4659 0.8865 0.1801
0.5341 0.1135 0.6801
0.5604 0.8942 0.8031
0.5794 0.4659 0.3468
0.6662 0.5604 0.9698
0.8865 0.4206 0.0134
0.8942 0.3338 0.6364
0.0215 0.7118 0.9245
0.0889 0.5082 0.8391
0.1649 0.4475 0.0467
0.2701 0.5651 0.2921
0.2826 0.8351 0.7133
0.2882 0.3097 0.2578
0.2950 0.7299 0.9588
0.3097 0.0215 0.0911
0.4193 0.9111 0.5058
0.4350 0.7050 0.6254
0.4475 0.2826 0.8800
0.4918 0.5807 0.1724
0.5082 0.4193 0.6724
0.5525 0.7174 0.3800
0.5651 0.2950 0.1254
0.5807 0.0889 0.0058
0.6903 0.9785 0.5911
0.7050 0.2701 0.4588
0.7118 0.6903 0.7578
0.7174 0.1649 0.2133
0.7299 0.4350 0.7921
0.8351 0.5525 0.5467
0.9111 0.4918 0.3391
0.9785 0.2882 0.4245
```

The 10 most intense peaks (10° ≤ 2θ ≤ 90°), in order of falling intensity:
Position (°2θ)	Rel. int.
19.12	100
10.53	98
21.14	49
22.62	40
19.96	38
24.33	35
37.24	22
13.20	21
33.91	21
29.24	20

***

Structure and theoretical powder XRD pattern of Os2O3F7 (a PBE-relaxed structure; λ = 1.5418 Å (Cu Kα)).

```
Os2O3F7
1.0
5.7990 0.0000 0.0000
0.0000 10.4555 0.0000
-2.2571 0.0000 12.4813
Os O F
8 12 28
Direct
0.0107 0.2503 0.0024
0.0107 0.2497 0.5024
0.3399 0.5122 0.2148
0.3399 0.9878 0.7148
0.6601 0.0122 0.2852
0.6601 0.4878 0.7852
0.9893 0.7503 0.4976
0.9893 0.7497 0.9976
0.4015 0.0753 0.8299
0.4015 0.4247 0.3299
0.4680 0.6566 0.2491
0.4680 0.8434 0.7491
0.4846 0.5547 0.8652
0.4846 0.9453 0.3652
0.5154 0.0547 0.6348
0.5154 0.4453 0.1348
0.5320 0.1566 0.2509
0.5320 0.3434 0.7509
0.5985 0.5753 0.6701
0.5985 0.9247 0.1701
0.0269 0.5539 0.2229
0.0269 0.9461 0.7229
0.0907 0.6667 0.6289
0.0907 0.8333 0.1289
0.1050 0.1550 0.6391
0.1050 0.3450 0.1391
0.1856 0.5995 0.0526
0.1856 0.9005 0.5526
0.1937 0.1107 0.0600
0.1937 0.3893 0.5600
0.2485 0.6857 0.4418
0.2485 0.8143 0.9418
0.2676 0.1782 0.4495
0.2676 0.3218 0.9495
0.7324 0.6782 0.0505
0.7324 0.8218 0.5505
0.7515 0.1857 0.0582
0.7515 0.3143 0.5582
0.8063 0.6107 0.4400
0.8063 0.8893 0.9400
0.8144 0.0995 0.4474
0.8144 0.4005 0.9474
0.8950 0.6550 0.8609
0.8950 0.8450 0.3609
0.9093 0.1667 0.8711
0.9093 0.3333 0.3711
0.9731 0.0539 0.2771
0.9731 0.4461 0.7771
```

The 10 most intense peaks (10° ≤ 2θ ≤ 90°), in order of falling intensity:
Position (°2θ)	Rel. int.
22.18	100
19.12	68
23.07	54
20.11	31
28.62	27
22.95	23
18.02	23
34.75	17
35.87	16
39.57	13

***

Structure and theoretical powder XRD pattern of Os2PbO7F2 (a PBE-relaxed structure; λ = 1.5418 Å (Cu Kα)).

```
Os2PbO7F2
1.0
-1.9471 9.6261 1.9471
1.9471 -9.6261 1.9471
1.9471 9.6261 -1.9471
Os Pb O F
2 1 7 2
Direct
0.1128 0.0000 0.1128
0.8872 0.0000 0.8872
0.5012 0.0012 0.5000
0.9998 0.9998 0.0000
0.1007 0.5006 0.6001
0.2023 0.0006 0.2016
0.3998 0.5000 0.8999
0.6001 0.5000 0.1001
0.7990 0.0006 0.7984
0.9005 0.5006 0.3999
0.2500 0.5000 0.7500
0.7500 0.5000 0.2500
```

The 10 most intense peaks (10° ≤ 2θ ≤ 90°), in order of falling intensity:
Position (°2θ)	Rel. int.
26.78	100
32.71	88
32.52	49
58.14	37
46.65	35
54.60	29
33.86	24
50.36	22
37.37	20
61.23	18

***

Structure and theoretical powder XRD pattern of PmOsO4F (a PBE-relaxed structure; λ = 1.5418 Å (Cu Kα)).

```
PmOsO4F
1.0
4.6376 0.0000 0.0000
0.0000 7.0599 0.0000
-2.0861 0.0000 6.5719
Pm Os O F
2 2 8 2
Direct
0.0983 0.2500 0.4037
0.9017 0.7500 0.5963
0.1101 0.7500 0.1992
0.8899 0.2500 0.8008
0.0856 0.0505 0.7204
0.0856 0.4495 0.7204
0.3751 0.7500 0.0745
0.3820 0.7500 0.4768
0.6180 0.2500 0.5232
0.6249 0.2500 0.9255
0.9144 0.5505 0.2796
0.9144 0.9495 0.2796
0.2019 0.2500 0.0984
0.7981 0.7500 0.9016
```

The 10 most intense peaks (10° ≤ 2θ ≤ 90°), in order of falling intensity:
Position (°2θ)	Rel. int.
20.09	100
25.23	100
31.27	75
30.00	54
32.46	39
18.44	34
43.80	32
37.68	30
27.52	28
48.40	28

***

Structure and theoretical powder XRD pattern of Sb2OsO2F14 (a PBE-relaxed structure; λ = 1.5418 Å (Cu Kα)).

```
Sb2OsO2F14
1.0
7.7009 0.0000 0.0000
-3.1636 8.6153 0.0000
-3.6598 -2.7485 9.2633
Sb Os O F
4 2 4 28
Direct
0.0558 0.1560 0.3212
0.4029 0.6988 0.8615
0.5971 0.3012 0.1385
0.9442 0.8440 0.6788
0.3260 0.7375 0.2476
0.6740 0.2625 0.7524
0.2699 0.7236 0.3907
0.4988 0.9343 0.2991
0.5012 0.0657 0.7009
0.7301 0.2764 0.6093
0.0191 0.8126 0.5245
0.0942 0.1352 0.1500
0.1096 0.7782 0.1355
0.1512 0.0595 0.7533
0.1591 0.5232 0.1293
0.1800 0.7795 0.7971
0.1843 0.4931 0.8051
0.2282 0.3813 0.3831
0.2688 0.0953 0.4213
0.3813 0.7381 0.0499
0.3930 0.3730 0.0559
0.3971 0.6734 0.6755
0.4133 0.0805 0.0745
0.4720 0.3381 0.7041
0.5280 0.6619 0.2959
0.5867 0.9195 0.9255
0.6029 0.3266 0.3245
0.6070 0.6270 0.9441
0.6187 0.2619 0.9501
0.7312 0.9047 0.5787
0.7718 0.6187 0.6169
0.8157 0.5069 0.1949
0.8200 0.2205 0.2029
0.8409 0.4768 0.8707
0.8488 0.9405 0.2467
0.8904 0.2218 0.8645
0.9058 0.8648 0.8500
0.9809 0.1874 0.4755
```

The 10 most intense peaks (10° ≤ 2θ ≤ 90°), in order of falling intensity:
Position (°2θ)	Rel. int.
21.24	100
22.10	81
19.16	77
21.52	77
20.57	73
24.73	70
19.69	63
20.97	59
40.56	52
43.82	46

***

Structure and theoretical powder XRD pattern of OsXeO4F6 (a PBE-relaxed structure; λ = 1.5418 Å (Cu Kα)).

```
OsXeO4F6
1.0
5.3844 0.0000 0.0000
0.3576 8.1598 0.0000
1.6374 1.3017 9.4100
Os Xe O F
2 2 8 12
Direct
0.1206 0.1588 0.3631
0.8794 0.8412 0.6369
0.4629 0.2878 0.8274
0.5371 0.7122 0.1726
0.0190 0.2119 0.2040
0.0585 0.7136 0.5316
0.2818 0.4545 0.9099
0.4133 0.2412 0.3397
0.5867 0.7588 0.6603
0.7182 0.5455 0.0901
0.9415 0.2864 0.4684
0.9810 0.7881 0.7960
0.1638 0.1352 0.8659
0.1784 0.0139 0.5616
0.2166 0.5770 0.2216
0.2669 0.9470 0.3074
0.3734 0.3735 0.6332
0.4333 0.8145 0.9851
0.5667 0.1855 0.0149
0.6266 0.6265 0.3668
0.7331 0.0530 0.6926
0.7834 0.4230 0.7784
0.8216 0.9861 0.4384
0.8362 0.8648 0.1341
```

The 10 most intense peaks (10° ≤ 2θ ≤ 90°), in order of falling intensity:
Position (°2θ)	Rel. int.
20.50	100
23.12	95
17.78	90
20.21	84
20.04	74
23.78	60
22.86	50
40.29	42
22.73	38
41.68	37